Calculated powder X-ray diffraction pattern
Compound: Co5CuN4
Radiation: Cu Kα
Structure: a PBE-relaxed structure
Intensities are scaled so that the largest is 100.

The 10 most intense peaks (10 to 90 degrees two-theta), by angle:
38.42°, rel. 100, (0 3 1); 40.16°, rel. 62, (2 1 1); 43.44°, rel. 19, (0 0 2); 54.12°, rel. 12, (2 4 0); 59.37°, rel. 21, (2 2 2); 65.91°, rel. 8, (0 6 0); 68.31°, rel. 11, (2 5 1); 71.81°, rel. 10, (2 4 2); 76.36°, rel. 8, (0 3 3); 79.63°, rel. 13, (4 3 1)

abc: 5.613 8.503 4.167
angles: 90.00 90.00 90.00
Space group Pmmn (No. 59, origin choice 2)
Inequivalent atoms, fractional coordinates:
1 Co 0.022 0.085 0.232
2 Co 0.250 0.750 0.209
3 Cu 0.250 0.250 0.781
4 N 0.016 0.750 0.509
5 N 0.250 0.547 0.014